No. 1
Simulated PXRD pattern
Compound: SnPClO2
Radiation: a wavelength of 1.5418 Å
Structure: a cell relaxed with GGA-PBE
No peak broadening, texture or thermal motion is included.

Principal peaks in the range 10 to 90 degrees two-theta, by angle:
- d 6.330, intensity 25.1
- d 4.944, intensity 40.0
- d 3.738, intensity 43.9
- d 3.436, intensity 100.0
- d 2.818, intensity 22.6
- d 2.756, intensity 57.4
- d 2.250, intensity 29.3
- d 2.023, intensity 14.8
- d 1.976, intensity 20.6
- d 1.858, intensity 14.9

```
data_SnPClO2
_chemical_formula_sum 'Sn4 P4 Cl4 O8'
_symmetry_space_group_name_H-M 'P 1'
_symmetry_Int_Tables_number 1
_symmetry_space_group_name_Hall 'P 1'
_cell_length_a 8.0228
_cell_length_b 5.6356
_cell_length_c 10.3022
_cell_angle_alpha 90.00
_cell_angle_beta 90.00
_cell_angle_gamma 90.00
loop_
_atom_site_label
_atom_site_type_symbol
_atom_site_fract_x
_atom_site_fract_y
_atom_site_fract_z
Sn1 Sn 0.1089 0.2500 0.1523
Sn2 Sn 0.3911 0.7500 0.6523
Sn3 Sn 0.6089 0.2500 0.3477
Sn4 Sn 0.8911 0.7500 0.8477
P1 P 0.0460 0.7500 0.3618
P2 P 0.4540 0.2500 0.8618
P3 P 0.5460 0.7500 0.1382
P4 P 0.9540 0.2500 0.6382
Cl1 Cl 0.1668 0.7500 0.9752
Cl2 Cl 0.3332 0.2500 0.4752
Cl3 Cl 0.6668 0.7500 0.5248
Cl4 Cl 0.8332 0.2500 0.0248
O1 O 0.0039 0.5249 0.2849
O2 O 0.0039 0.9751 0.2849
O3 O 0.4961 0.0249 0.7849
O4 O 0.4961 0.4751 0.7849
O5 O 0.5039 0.5249 0.2151
O6 O 0.5039 0.9751 0.2151
O7 O 0.9961 0.0249 0.7151
O8 O 0.9961 0.4751 0.7151
```

***

No. 2
Simulated PXRD pattern
Compound: Cs2MnFeC6N6
Radiation: a wavelength of 1.5418 Å
Structure: a cell relaxed with GGA-PBE
No peak broadening, texture or thermal motion is included.

Principal peaks in the range 10 to 90 degrees two-theta, by angle:
- d 3.561, intensity 100.0
- d 2.907, intensity 21.0
- d 2.518, intensity 36.3
- d 2.252, intensity 7.5
- d 2.056, intensity 34.1
- d 1.780, intensity 19.7
- d 1.592, intensity 24.9
- d 1.346, intensity 23.6
- d 1.187, intensity 10.5
- d 1.126, intensity 7.0

```
data_Cs2MnFeC6N6
_chemical_formula_sum 'Cs2 Mn1 Fe1 C6 N6'
_symmetry_space_group_name_H-M 'P 1'
_symmetry_Int_Tables_number 1
_symmetry_space_group_name_Hall 'P 1'
_cell_length_a 7.1212
_cell_length_b 7.1212
_cell_length_c 7.1212
_cell_angle_alpha 60.00
_cell_angle_beta 60.00
_cell_angle_gamma 60.00
loop_
_atom_site_label
_atom_site_type_symbol
_atom_site_fract_x
_atom_site_fract_y
_atom_site_fract_z
Cs1 Cs 0.2500 0.2500 0.2500
Cs2 Cs 0.7500 0.7500 0.7500
Mn1 Mn 0.0000 0.0000 0.0000
Fe1 Fe 0.5000 0.5000 0.5000
C1 C 0.3122 0.3122 0.6878
C2 C 0.3122 0.6878 0.3122
C3 C 0.3122 0.6878 0.6878
C4 C 0.6878 0.3122 0.3122
C5 C 0.6878 0.3122 0.6878
C6 C 0.6878 0.6878 0.3122
N1 N 0.1948 0.1948 0.8052
N2 N 0.1948 0.8052 0.1948
N3 N 0.1948 0.8052 0.8052
N4 N 0.8052 0.1948 0.1948
N5 N 0.8052 0.1948 0.8052
N6 N 0.8052 0.8052 0.1948
```

***

No. 3
Simulated PXRD pattern
Compound: SmSnRh2
Radiation: a wavelength of 1.5418 Å
Structure: a cell relaxed with GGA-PBE
No peak broadening, texture or thermal motion is included.

Principal peaks in the range 10 to 90 degrees two-theta, by angle:
- d 3.892, intensity 0.9
- d 3.370, intensity 1.8
- d 2.383, intensity 100.0
- d 1.946, intensity 0.6
- d 1.685, intensity 17.3
- d 1.507, intensity 0.9
- d 1.376, intensity 35.3
- d 1.192, intensity 11.1
- d 1.123, intensity 0.5

```
data_SmSnRh2
_chemical_formula_sum 'Sm1 Sn1 Rh2'
_symmetry_space_group_name_H-M 'P 1'
_symmetry_Int_Tables_number 1
_symmetry_space_group_name_Hall 'P 1'
_cell_length_a 4.7665
_cell_length_b 4.7665
_cell_length_c 4.7665
_cell_angle_alpha 60.00
_cell_angle_beta 60.00
_cell_angle_gamma 60.00
loop_
_atom_site_label
_atom_site_type_symbol
_atom_site_fract_x
_atom_site_fract_y
_atom_site_fract_z
Sm1 Sm 0.0000 0.0000 0.0000
Sn1 Sn 0.5000 0.5000 0.5000
Rh1 Rh 0.2500 0.2500 0.2500
Rh2 Rh 0.7500 0.7500 0.7500
```

***

No. 4
Simulated PXRD pattern
Compound: LuSnRh
Radiation: a wavelength of 1.5418 Å
Structure: a cell relaxed with GGA-PBE
No peak broadening, texture or thermal motion is included.

Principal peaks in the range 10 to 90 degrees two-theta, by angle:
- d 2.640, intensity 100.0
- d 2.495, intensity 41.6
- d 2.451, intensity 71.1
- d 2.200, intensity 42.3
- d 2.062, intensity 16.4
- d 1.831, intensity 33.6
- d 1.637, intensity 14.8
- d 1.476, intensity 16.8
- d 1.407, intensity 20.4
- d 1.399, intensity 30.4

```
data_LuSnRh
_chemical_formula_sum 'Lu3 Sn3 Rh3'
_symmetry_space_group_name_H-M 'P 1'
_symmetry_Int_Tables_number 1
_symmetry_space_group_name_Hall 'P 1'
_cell_length_a 7.6219
_cell_length_b 7.6219
_cell_length_c 3.6614
_cell_angle_alpha 90.00
_cell_angle_beta 90.00
_cell_angle_gamma 120.00
loop_
_atom_site_label
_atom_site_type_symbol
_atom_site_fract_x
_atom_site_fract_y
_atom_site_fract_z
Lu1 Lu 0.0000 0.5982 0.0000
Lu2 Lu 0.4018 0.4018 0.0000
Lu3 Lu 0.5982 0.0000 0.0000
Sn1 Sn 0.0000 0.2670 0.5000
Sn2 Sn 0.2670 0.0000 0.5000
Sn3 Sn 0.7330 0.7330 0.5000
Rh1 Rh 0.0000 0.0000 0.0000
Rh2 Rh 0.3333 0.6667 0.5000
Rh3 Rh 0.6667 0.3333 0.5000
```